Theoretical powder X-ray diffraction pattern of Nd2Y7Tm for CuKα, from DFT lattice parameters and positions (PBE).
No peak broadening, texture or thermal motion is included.

Structural model:
```
10
Lattice="6.197 0.000 0.000 -2.062 6.868 0.000 -1.013 -2.168 7.636" Properties=species:S:1:pos:R:3 pbc="T T T"
Nd 0.017 0.949 1.519
Nd 3.105 3.752 6.117
Y -1.025 4.374 1.519
Y 1.042 -0.609 4.582
Y 0.013 2.816 4.583
Y 3.099 0.000 0.000
Y 3.108 1.885 3.053
Y 2.080 5.310 3.054
Y 4.147 0.326 6.116
Tm 2.068 3.434 0.000
```

The 12 most intense peaks (15 to 90 degrees two-theta), sorted by position:
(1 0 2), 2θ = 30.57°, intensity 100.0; (1 2 0), 2θ = 35.41°, intensity 33.5; (1 0 -3), 2θ = 35.50°, intensity 16.7; (3 0 1), 2θ = 50.95°, intensity 23.4; (2 2 -3), 2θ = 51.06°, intensity 11.6; (2 2 2), 2θ = 60.52°, intensity 10.4; (0 0 5), 2θ = 60.63°, intensity 20.7; (4 -2 0), 2θ = 60.72°, intensity 10.4; (2 0 4), 2θ = 63.58°, intensity 5.9; (4 0 -2), 2θ = 63.68°, intensity 5.9; (4 0 3), 2θ = 83.01°, intensity 7.0; (5 -2 2), 2θ = 85.77°, intensity 6.5